Computed powder X-ray diffraction pattern
Compound: Fe3Co5
Radiation: Cu Kα (weighted mean of Kα1 and Kα2)
Structure: DFT lattice parameters and positions (PBE)

Largest 10 diffraction maxima, low angle first, 2θ from 15° to 90°:
(1 2 -1), 2θ 45.2, d = 2.007 Å, intensity 99
(0 2 2), 2θ 45.3, d = 2.002 Å, intensity 100
(1 0 1), 2θ 45.5, d = 1.993 Å, intensity 49
(0 4 0), 2θ 45.7, d = 1.987 Å, intensity 49
(1 0 -3), 2θ 65.3, d = 1.428 Å, intensity 15
(1 4 1), 2θ 66.4, d = 1.407 Å, intensity 28
(2 0 -2), 2θ 83.0, d = 1.163 Å, intensity 7
(0 0 4), 2θ 83.4, d = 1.159 Å, intensity 21
(2 2 0), 2θ 83.8, d = 1.154 Å, intensity 13
(1 2 3), 2θ 84.1, d = 1.151 Å, intensity 42

Crystal structure
```
data_Fe3Co5
_space_group_name_H-M_alt 'P 1 2 1'
_space_group_IT_number 3
_cell_length_a 2.456
_cell_length_b 7.949
_cell_length_c 4.719
_cell_angle_alpha 90.00
_cell_angle_beta 100.80
_cell_angle_gamma 90.00
loop_
_space_group_symop_operation_xyz
'x,y,z'
'-x,y,-z'
loop_
_atom_site_label
_atom_site_type_symbol
_atom_site_fract_x
_atom_site_fract_y
_atom_site_fract_z
Fe1 Fe 0.000 0.000 0.000
Fe2 Fe 0.254 0.748 0.749
Co1 Co 0.000 0.501 0.000
Co2 Co 0.210 0.250 0.754
Co3 Co 0.500 0.003 0.500
Co4 Co 0.500 0.495 0.500
```